1.
Ac5Si2Sn2: theoretical X-ray powder pattern (copper Kα), based on the GGA-PBE geometry in Alexandria.
No peak broadening, texture or thermal motion is included.

```
18
Lattice="8.362 -4.292 0.000 8.362 4.292 0.000 0.000 0.000 8.607" Properties=species:S:1:pos:R:3 pbc="T T T"
Ac 0.000 0.000 0.000
Ac 6.144 2.765 5.813
Ac 6.144 1.527 1.509
Ac 10.580 2.765 5.813
Ac 10.580 1.527 1.509
Ac 8.362 0.000 4.303
Ac 6.144 -1.527 7.097
Ac 6.144 -2.765 2.794
Ac 10.580 -1.527 7.097
Ac 10.580 -2.765 2.794
Si 8.362 3.373 3.374
Si 8.362 0.919 7.677
Si 8.362 -0.919 0.930
Si 8.362 -3.373 5.233
Sn 3.494 0.000 0.000
Sn 4.868 0.000 4.303
Sn 11.856 0.000 4.303
Sn 13.229 0.000 0.000
```

Peak list (10 most intense, 2θ from 10° to 90°, sorted by position)
d [Å], two_theta, I/Imax
3.841, 23.16, 412
3.749, 23.73, 349
3.166, 28.18, 446
3.039, 29.39, 415
2.997, 29.81, 1000
2.930, 30.51, 316
2.828, 31.63, 459
2.683, 33.40, 607
1.904, 47.77, 188
1.733, 52.83, 212

2.
PrCu3S3: theoretical X-ray powder pattern (copper Kα), based on the GGA-PBE geometry in Alexandria.
No peak broadening, texture or thermal motion is included.

```
14
Lattice="3.391 1.958 6.587 -3.391 1.958 6.587 0.000 -3.916 6.587" Properties=species:S:1:pos:R:3 pbc="T T T"
Pr 0.000 0.000 3.291
Pr 0.000 0.000 16.471
Cu -1.163 -2.013 7.452
Cu -2.325 0.001 12.310
Cu -1.162 2.014 7.452
Cu 1.162 -2.014 12.310
Cu 2.325 -0.001 7.452
Cu 1.163 2.013 12.310
S -2.229 -0.003 8.143
S -1.112 -1.932 11.619
S 1.117 -1.929 8.143
S -1.117 1.929 11.619
S 1.112 1.932 8.143
S 2.229 0.003 11.619
```

Peak list (10 most intense, 2θ from 10° to 90°, sorted by position)
d [Å], two_theta, I/Imax
5.630, 15.74, 257
5.049, 17.57, 180
3.015, 29.63, 1000
2.362, 38.09, 718
2.196, 41.11, 151
1.958, 46.38, 570
1.843, 49.45, 183
1.642, 56.01, 170
1.507, 61.52, 167
1.461, 63.68, 232

3.
Ho3Co3Ge8: theoretical X-ray powder pattern (copper Kα), based on the GGA-PBE geometry in Alexandria.
No peak broadening, texture or thermal motion is included.

```
14
Lattice="8.979 -1.981 0.000 8.979 1.981 0.000 -3.019 0.000 7.133" Properties=species:S:1:pos:R:3 pbc="T T T"
Ho 0.000 0.000 0.000
Ho 3.589 0.000 2.192
Ho 11.349 0.000 4.941
Co -1.510 0.000 3.566
Co 6.186 0.000 0.088
Co 8.752 0.000 7.045
Ge 0.752 0.000 3.333
Ge 0.723 0.000 6.323
Ge 4.520 0.000 5.341
Ge 7.330 0.000 2.131
Ge 7.608 0.000 5.001
Ge 10.418 0.000 1.792
Ge 14.215 0.000 0.810
Ge 14.186 0.000 3.800
```

Peak list (10 most intense, 2θ from 10° to 90°, sorted by position)
d [Å], two_theta, I/Imax
2.891, 30.94, 161
2.763, 32.40, 302
2.712, 33.03, 539
2.656, 33.75, 1000
2.531, 35.47, 272
2.506, 35.83, 887
2.288, 39.37, 299
2.161, 41.79, 283
1.981, 45.82, 451
1.722, 53.20, 181

4.
K2Na16Sr: theoretical X-ray powder pattern (copper Kα), based on the GGA-PBE geometry in Alexandria.
No peak broadening, texture or thermal motion is included.

```
19
Lattice="6.171 3.563 6.152 -6.171 3.563 6.152 0.000 -7.125 6.152" Properties=species:S:1:pos:R:3 pbc="T T T"
K 0.000 0.000 0.000
K 0.000 0.000 5.912
Na 0.000 -3.506 3.240
Na -3.036 1.753 3.240
Na -2.994 -1.729 9.110
Na 0.000 -3.587 8.790
Na -3.106 1.793 8.790
Na -1.836 -3.190 12.159
Na -3.681 0.005 12.159
Na 3.037 1.753 3.240
Na 0.000 0.000 10.178
Na 2.994 -1.729 9.110
Na 0.000 3.458 9.110
Na 1.836 -3.190 12.159
Na -1.845 3.186 12.159
Na 3.106 1.793 8.790
Na 3.681 0.005 12.159
Na 1.845 3.186 12.159
Sr 0.000 0.000 13.916
```

Peak list (10 most intense, 2θ from 10° to 90°, sorted by position)
d [Å], two_theta, I/Imax
4.357, 20.38, 121
4.236, 20.97, 101
3.563, 24.99, 307
3.492, 25.51, 277
3.083, 28.96, 1000
3.038, 29.40, 332
2.756, 32.48, 389
1.781, 51.29, 149
1.777, 51.42, 145
1.542, 59.98, 106

5.
Th2MnTcN6: theoretical X-ray powder pattern (copper Kα), based on the GGA-PBE geometry in Alexandria.
No peak broadening, texture or thermal motion is included.

```
20
Lattice="5.506 0.000 0.000 0.000 5.559 0.000 -5.492 0.000 7.787" Properties=species:S:1:pos:R:3 pbc="T T T"
Th -0.015 0.242 1.952
Th -2.761 2.537 5.846
Th 2.775 3.022 1.941
Th 0.029 5.317 5.834
Mn 2.753 0.000 0.000
Mn 0.007 2.780 3.893
Tc -2.746 0.000 3.893
Tc 0.000 2.780 0.000
N -4.359 1.120 7.501
N -1.612 1.660 3.608
N -3.849 3.926 7.510
N -1.103 4.413 3.616
N -2.364 0.074 5.861
N 0.383 2.706 1.967
N -0.368 2.854 5.820
N 2.378 5.485 1.926
N 1.117 1.146 4.170
N 3.863 1.634 0.277
N 1.627 3.900 4.179
N 4.373 4.439 0.285
```

Peak list (10 most intense, 2θ from 10° to 90°, sorted by position)
d [Å], two_theta, I/Imax
3.912, 22.73, 183
3.893, 22.84, 102
2.780, 32.20, 175
2.758, 32.46, 1000
2.248, 40.11, 86
1.956, 46.42, 163
1.947, 46.66, 101
1.601, 57.57, 101
1.591, 57.97, 214
1.380, 67.93, 98

6.
Np2NiS6: theoretical X-ray powder pattern (copper Kα), based on the GGA-PBE geometry in Alexandria.
No peak broadening, texture or thermal motion is included.

```
18
Lattice="6.101 0.000 0.000 0.000 6.101 0.000 0.000 0.000 10.960" Properties=species:S:1:pos:R:3 pbc="T T T"
Np 0.000 0.000 1.949
Np 0.000 0.000 9.011
Np 3.051 3.051 3.531
Np 3.051 3.051 7.429
Ni 0.000 0.000 5.480
Ni 3.051 3.051 0.000
S 1.174 1.174 0.000
S 1.180 1.180 3.908
S 1.180 1.180 7.052
S 1.871 4.231 1.572
S 1.871 4.231 9.389
S 1.877 4.224 5.480
S 4.224 1.877 5.480
S 4.231 1.871 1.572
S 4.231 1.871 9.389
S 4.921 4.921 3.908
S 4.921 4.921 7.052
S 4.927 4.927 0.000
```

Peak list (10 most intense, 2θ from 10° to 90°, sorted by position)
d [Å], two_theta, I/Imax
5.331, 16.63, 173
4.314, 20.59, 1000
3.390, 26.29, 164
3.134, 28.48, 600
3.051, 29.28, 192
2.186, 41.30, 709
2.157, 41.88, 216
1.929, 47.10, 170
1.777, 51.42, 265
1.371, 68.40, 135

7.
KSrZn2Bi2: theoretical X-ray powder pattern (copper Kα), based on the GGA-PBE geometry in Alexandria.
No peak broadening, texture or thermal motion is included.

```
6
Lattice="4.772 0.000 0.000 -2.386 4.133 0.000 0.000 0.000 9.921" Properties=species:S:1:pos:R:3 pbc="T T T"
K 0.000 0.000 0.000
Sr 0.000 0.000 4.960
Zn 0.000 2.755 6.810
Zn 2.386 1.378 3.111
Bi 0.000 2.755 2.571
Bi 2.386 1.378 7.350
```

Peak list (10 most intense, 2θ from 10° to 90°, sorted by position)
d [Å], two_theta, I/Imax
4.960, 17.88, 454
3.815, 23.32, 599
3.175, 28.10, 1000
2.582, 34.74, 448
2.386, 37.70, 720
2.150, 42.02, 337
1.908, 47.67, 233
1.789, 51.06, 211
1.720, 53.27, 317
1.490, 62.32, 208

8.
H6Se3Br: theoretical X-ray powder pattern (copper Kα), based on the GGA-PBE geometry in Alexandria.
No peak broadening, texture or thermal motion is included.

```
10
Lattice="5.792 3.344 1.600 -5.792 3.344 1.600 0.000 -6.688 1.600" Properties=species:S:1:pos:R:3 pbc="T T T"
H 0.000 -4.872 1.600
H -4.219 2.436 1.600
H 0.000 -2.701 1.486
H -2.339 1.350 1.486
H 2.339 1.350 1.486
H 4.219 2.436 1.600
Se -2.477 -1.430 3.702
Se 2.477 -1.430 3.702
Se 0.000 2.861 3.702
Br 0.000 0.000 1.589
```

Peak list (10 most intense, 2θ from 10° to 90°, sorted by position)
d [Å], two_theta, I/Imax
3.467, 25.69, 1000
3.344, 26.66, 201
2.975, 30.04, 325
2.896, 30.88, 517
2.223, 40.59, 197
2.164, 41.73, 197
1.851, 49.22, 120
1.763, 51.85, 105
1.661, 55.31, 174
1.133, 85.71, 103